# 1
NaGaW2O8: computed X-ray powder pattern (λ = 1.5418 Å (Cu Kα)), based on a crystal structure in Alexandria, relaxed with PBE+U.
Kinematic intensities with the Lorentz-polarization factor, no thermal factor.

a b c (Å): 9.986 5.798 5.056
angles (deg): 90.00 90.80 90.00
Positions (direct):
1 Na 0.000 0.188 0.250
2 Na 0.000 0.812 0.750
3 Ga 0.500 0.160 0.250
4 Ga 0.500 0.840 0.750
5 W 0.266 0.322 0.740
6 W 0.266 0.678 0.240
7 W 0.734 0.322 0.760
8 W 0.734 0.678 0.260
9 O 0.147 0.122 0.621
10 O 0.147 0.878 0.121
11 O 0.172 0.409 0.052
12 O 0.172 0.591 0.552
13 O 0.377 0.375 0.420
14 O 0.377 0.625 0.920
15 O 0.394 0.121 0.911
16 O 0.394 0.879 0.411
17 O 0.606 0.121 0.589
18 O 0.606 0.879 0.089
19 O 0.623 0.375 0.080
20 O 0.623 0.625 0.580
21 O 0.828 0.409 0.448
22 O 0.828 0.591 0.948
23 O 0.853 0.122 0.879
24 O 0.853 0.878 0.379

Top 10 peaks for 5° ≤ 2θ ≤ 70°, sorted by position:
| two_theta | I_rel |
| --- | --- |
| 8.9 | 50 |
| 17.8 | 80 |
| 23.3 | 69 |
| 23.5 | 53 |
| 29.3 | 99 |
| 29.6 | 100 |
| 35.5 | 30 |
| 35.7 | 42 |
| 50.6 | 28 |
| 51.8 | 37 |

***

# 2
NaGa2WO6: computed X-ray powder pattern (λ = 1.5418 Å (Cu Kα)), based on a crystal structure in Alexandria, relaxed with PBE+U.
Kinematic intensities with the Lorentz-polarization factor, no thermal factor.

a b c (Å): 6.883 6.883 5.378
angles (deg): 96.12 96.12 89.70
Positions (direct):
1 Na 0.083 0.917 0.750
2 Na 0.917 0.083 0.250
3 Ga 0.221 0.400 0.693
4 Ga 0.400 0.221 0.193
5 Ga 0.600 0.779 0.807
6 Ga 0.779 0.600 0.307
7 W 0.269 0.731 0.250
8 W 0.731 0.269 0.750
9 O 0.005 0.239 0.654
10 O 0.186 0.617 0.917
11 O 0.239 0.005 0.154
12 O 0.282 0.439 0.367
13 O 0.383 0.814 0.583
14 O 0.439 0.282 0.867
15 O 0.561 0.718 0.133
16 O 0.617 0.186 0.417
17 O 0.718 0.561 0.633
18 O 0.761 0.995 0.846
19 O 0.814 0.383 0.083
20 O 0.995 0.761 0.346

Top 10 peaks for 5° ≤ 2θ ≤ 70°, sorted by position:
| two_theta | I_rel |
| --- | --- |
| 20.0 | 55 |
| 22.2 | 89 |
| 26.0 | 100 |
| 31.6 | 70 |
| 33.0 | 93 |
| 33.7 | 51 |
| 36.0 | 36 |
| 41.7 | 37 |
| 58.9 | 33 |
| 60.6 | 37 |